Ho6Fe16O: computed X-ray powder pattern (CuKα), based on a PBE+U-relaxed structure.

The 10 most intense peaks (5° ≤ 2θ ≤ 70°), low angle first:
2θ (°), I_rel
29.85, 25
32.78, 77
35.49, 51
38.03, 33
40.43, 100
52.99, 16
54.87, 20
60.28, 16
65.40, 37
68.71, 19

Atomic structure:
```
Ho6Fe16O
1.0
-4.733 4.733 4.733
4.733 -4.733 4.733
4.733 4.733 -4.733
Ho Fe O
6 16 1
direct
0.000 0.261 0.261 Ho
0.000 0.739 0.739 Ho
0.261 0.000 0.261 Ho
0.261 0.261 0.000 Ho
0.739 0.000 0.739 Ho
0.739 0.739 0.000 Ho
0.000 0.000 0.500 Fe
0.000 0.353 0.647 Fe
0.000 0.500 0.000 Fe
0.000 0.647 0.353 Fe
0.295 0.647 0.647 Fe
0.353 0.000 0.647 Fe
0.353 0.353 0.705 Fe
0.353 0.647 0.000 Fe
0.353 0.705 0.353 Fe
0.500 0.000 0.000 Fe
0.500 0.500 0.500 Fe
0.647 0.000 0.353 Fe
0.647 0.295 0.647 Fe
0.647 0.353 0.000 Fe
0.647 0.647 0.295 Fe
0.705 0.353 0.353 Fe
0.000 0.000 0.000 O
```